Diffraction record for Li3GdB2O6. The X-ray diffraction stick pattern is calculated, not measured: it uses DFT lattice parameters and positions (GGA-PBE) and Cu Kα.
Intensities are scaled so that the largest is 100.

The 10 most intense peaks (10 to 90 degrees two-theta), in order of rising 2θ:
index	d/Å	two_theta	I_rel
1 0 0	7.854	11.27	25.1
1 1 -1	5.043	17.59	100.0
0 0 2	4.538	19.56	29.3
2 0 -2	3.996	22.25	20.4
1 1 1	3.931	22.62	56.3
1 1 -3	3.004	29.74	23.2
2 1 1	2.817	31.77	19.1
2 0 -4	2.521	35.62	24.7
2 2 0	2.504	35.87	21.8
3 1 -3	2.465	36.45	20.0

```
Li3GdB2O6
1.0
8.807 0.000 0.000
0.000 6.500 0.000
-4.605 0.000 9.077
Li Gd B O
12 4 8 24
Direct
0.105 0.244 0.478
0.105 0.256 0.978
0.204 0.562 0.166
0.204 0.938 0.666
0.336 0.719 0.541
0.336 0.781 0.041
0.664 0.219 0.959
0.664 0.281 0.459
0.796 0.062 0.334
0.796 0.438 0.834
0.895 0.744 0.022
0.895 0.756 0.522
0.317 0.028 0.300
0.317 0.472 0.800
0.683 0.528 0.200
0.683 0.972 0.700
0.040 0.663 0.823
0.040 0.837 0.323
0.448 0.172 0.108
0.448 0.328 0.608
0.552 0.672 0.392
0.552 0.828 0.892
0.960 0.163 0.677
0.960 0.337 0.177
0.090 0.708 0.713
0.090 0.792 0.213
0.118 0.210 0.689
0.118 0.290 0.189
0.163 0.560 0.947
0.163 0.940 0.447
0.297 0.065 0.061
0.297 0.435 0.561
0.441 0.680 0.242
0.441 0.820 0.742
0.489 0.214 0.514
0.489 0.286 0.014
0.511 0.714 0.986
0.511 0.786 0.486
0.559 0.180 0.258
0.559 0.320 0.758
0.703 0.565 0.439
0.703 0.935 0.939
0.837 0.060 0.553
0.837 0.440 0.053
0.882 0.710 0.811
0.882 0.790 0.311
0.910 0.208 0.787
0.910 0.292 0.287
```



Diffraction record for GdB4Mo. The X-ray diffraction stick pattern is calculated, not measured: it uses DFT lattice parameters and positions (GGA-PBE) and Cu Kα.
Intensities are scaled so that the largest is 100.

The 10 most intense peaks (10 to 90 degrees two-theta), in order of rising 2θ:
index	d/Å	two_theta	I_rel
0 0 1	3.656	24.35	81.8
1 3 0	3.288	27.12	25.1
2 1 0	2.937	30.44	80.7
1 4 0	2.642	33.94	21.4
1 3 1	2.445	36.76	28.7
2 3 0	2.398	37.51	21.3
2 1 1	2.289	39.35	100.0
1 4 1	2.141	42.21	28.9
2 3 1	2.005	45.23	30.8
2 1 2	1.552	59.57	24.3

```
GdB4Mo
1.0
6.069 0.000 0.000
0.000 11.736 0.000
0.000 0.000 3.656
Gd B Mo
4 16 4
Direct
0.126 0.150 0.000
0.374 0.650 0.000
0.626 0.350 0.000
0.874 0.850 0.000
0.024 0.693 0.500
0.114 0.547 0.500
0.134 0.968 0.500
0.215 0.814 0.500
0.285 0.314 0.500
0.366 0.468 0.500
0.386 0.047 0.500
0.476 0.193 0.500
0.524 0.807 0.500
0.614 0.953 0.500
0.634 0.532 0.500
0.715 0.686 0.500
0.785 0.186 0.500
0.866 0.032 0.500
0.886 0.453 0.500
0.976 0.307 0.500
0.129 0.417 0.000
0.371 0.917 0.000
0.629 0.083 0.000
0.871 0.583 0.000
```



> Number 1 is which compound?

Li3GdB2O6



> Which formula does entry 2 have?

GdB4Mo